# 1
The following is a simulated PXRD pattern of CsAlGeF6. It was derived from a structure optimized by DFT (PBE), using a wavelength of 1.5418 Å.
No peak broadening, texture or thermal motion is included.

Atomic structure:
```
CsAlGeF6
1.0
5.5511 0.0000 0.0000
2.4659 4.9937 0.0000
0.0450 0.0272 5.9321
Cs Al Ge F
1 1 1 6
direct
0.0000 0.0000 0.0000
0.6513 0.6542 0.4439
0.3502 0.3512 0.4842
0.3143 0.7396 0.5689
0.4876 0.4847 0.2259
0.5163 0.9608 0.2794
0.7397 0.3202 0.5720
0.7633 0.7731 0.6700
0.9617 0.5202 0.2821
```

Top 6 peaks for 2θ from 5° to 70°, sorted by position:
2θ/deg, I/Imax
23.25, 87
23.36, 100
24.19, 28
30.46, 24
39.20, 29
44.91, 25

# 2
The following is a simulated PXRD pattern of CsAlH4O2F4. It was derived from a structure optimized by DFT (PBE), using a wavelength of 1.5418 Å.
No peak broadening, texture or thermal motion is included.

Atomic structure:
```
CsAlH4O2F4
1.0
5.7844 -3.3859 0.0000
5.7844 3.3859 0.0000
-4.9102 0.0000 7.4734
Cs Al H O F
2 2 8 4 8
direct
0.2254 0.7746 0.7500
0.7746 0.2254 0.2500
0.0000 0.5000 0.0000
0.5000 0.0000 0.5000
0.2212 0.6662 0.3354
0.2234 0.4055 0.3091
0.3338 0.7788 0.1646
0.4055 0.2234 0.8091
0.5945 0.7766 0.1909
0.6662 0.2212 0.8354
0.7766 0.5945 0.6909
0.7788 0.3338 0.6646
0.2002 0.5093 0.2460
0.4907 0.7998 0.2540
0.5093 0.2002 0.7460
0.7998 0.4907 0.7540
0.0866 0.7365 0.0285
0.2618 0.2708 0.9262
0.2635 0.9134 0.4715
0.2708 0.2618 0.4262
0.7292 0.7382 0.5738
0.7365 0.0866 0.5285
0.7382 0.7292 0.0738
0.9134 0.2635 0.9715
```

Top 6 peaks for 2θ from 5° to 70°, sorted by position:
2θ/deg, I/Imax
20.57, 74
22.78, 100
26.80, 68
32.28, 40
33.83, 41
34.51, 45

# 3
The following is a simulated PXRD pattern of CsAl2InF8. It was derived from a structure optimized by DFT (PBE), using a wavelength of 1.5418 Å.
No peak broadening, texture or thermal motion is included.

Atomic structure:
```
CsAl2InF8
1.0
2.9918 1.7273 7.9657
-2.9918 1.7273 7.9657
0.0000 -3.4546 7.9657
Cs Al In F
1 2 1 8
direct
0.0000 0.0000 0.0000
0.2532 0.2532 0.2532
0.7468 0.7468 0.7468
0.5000 0.5000 0.5000
0.0196 0.8048 0.4825
0.1952 0.5175 0.9804
0.3244 0.3244 0.3244
0.4825 0.0196 0.8048
0.5175 0.9804 0.1952
0.6756 0.6756 0.6756
0.8048 0.4825 0.0196
0.9804 0.1952 0.5175
```

Top 6 peaks for 2θ from 5° to 70°, sorted by position:
2θ/deg, I/Imax
18.66, 28
22.72, 100
29.86, 44
34.66, 29
37.60, 40
37.85, 20

# 4
The following is a simulated PXRD pattern of Cs2NaAlF6. It was derived from a structure optimized by DFT (PBE), using a wavelength of 1.5418 Å.
No peak broadening, texture or thermal motion is included.

Atomic structure:
```
Cs2NaAlF6
1.0
3.1342 1.8095 10.1130
-3.1342 1.8095 10.1130
0.0000 -3.6191 10.1130
Cs Na Al F
4 2 2 12
direct
0.1281 0.1281 0.1281
0.2806 0.2806 0.2806
0.7194 0.7194 0.7194
0.8719 0.8719 0.8719
0.4021 0.4021 0.4021
0.5979 0.5979 0.5979
0.0000 0.0000 0.0000
0.5000 0.5000 0.5000
0.1755 0.1755 0.7536
0.1755 0.7536 0.1755
0.1908 0.6003 0.6003
0.2464 0.8245 0.8245
0.3997 0.3997 0.8092
0.3997 0.8092 0.3997
0.6003 0.1908 0.6003
0.6003 0.6003 0.1908
0.7536 0.1755 0.1755
0.8092 0.3997 0.3997
0.8245 0.2464 0.8245
0.8245 0.8245 0.2464
```

Top 6 peaks for 2θ from 5° to 70°, sorted by position:
2θ/deg, I/Imax
21.97, 50
26.31, 73
28.48, 100
28.72, 30
36.26, 40
39.17, 62

# 5
The following is a simulated PXRD pattern of CsAl2PbF8. It was derived from a structure optimized by DFT (PBE), using a wavelength of 1.5418 Å.
No peak broadening, texture or thermal motion is included.

Atomic structure:
```
CsAl2PbF8
1.0
2.6221 1.5138 10.3650
-2.6221 1.5138 10.3650
0.0000 -3.0277 10.3650
Cs Al Pb F
1 2 1 8
direct
0.0000 0.0000 0.0000
0.2504 0.2504 0.2504
0.7496 0.7496 0.7496
0.5000 0.5000 0.5000
0.0840 0.7479 0.4632
0.2521 0.5368 0.9160
0.3056 0.3056 0.3056
0.4632 0.0840 0.7479
0.5368 0.9160 0.2521
0.6944 0.6944 0.6944
0.7479 0.4632 0.0840
0.9160 0.2521 0.5368
```

Top 6 peaks for 2θ from 5° to 70°, sorted by position:
2θ/deg, I/Imax
20.37, 42
22.68, 100
30.27, 36
34.20, 29
38.48, 38
49.45, 19

# 6
The following is a simulated PXRD pattern of CsPuAlF6. It was derived from a structure optimized by DFT (PBE), using a wavelength of 1.5418 Å.
No peak broadening, texture or thermal motion is included.

Atomic structure:
```
CsPuAlF6
1.0
-3.7155 3.7956 5.4954
3.7155 -3.7956 5.4954
3.7155 3.7956 -5.4954
Cs Pu Al F
2 2 2 12
direct
0.4007 0.1507 0.2500
0.5993 0.8493 0.7500
0.0000 0.0000 0.5000
0.0000 0.5000 0.0000
0.0000 0.5000 0.5000
0.5000 0.5000 0.0000
0.1246 0.4459 0.3350
0.1246 0.7896 0.6787
0.1393 0.8893 0.2500
0.2429 0.4929 0.7500
0.3891 0.2104 0.8350
0.3891 0.5541 0.1787
0.6109 0.4459 0.8213
0.6109 0.7896 0.1650
0.7571 0.5071 0.2500
0.8607 0.1107 0.7500
0.8754 0.2104 0.3213
0.8754 0.5541 0.6650
```

Top 6 peaks for 2θ from 5° to 70°, sorted by position:
2θ/deg, I/Imax
14.18, 43
16.13, 39
27.94, 100
28.58, 37
44.09, 38
47.63, 37